Diffraction record for Li6Co3NiP6O24. The X-ray powder pattern is calculated, not measured: it uses a crystal structure in Alexandria, relaxed with GGA+U and CuKα.
Lines closer than 0.1° are merged.

Principal peaks in the range 2θ from 5° to 70°, in order of falling intensity:
hkl  2θ (°)  d (Å)  Rel. int.
-1 1 1  20.10  4.417  100
1 -2 0  24.27  3.667  80
1 1 1  32.14  2.785  61
1 0 -1  14.48  6.115  44
2 0 -2  29.21  3.058  43
1 -2 2  24.46  3.640  36
1 -1 1  14.64  6.049  35
2 -2 2  29.53  3.025  27
1 -2 3  32.38  2.765  26
1 -2 1  21.15  4.200  24
0 3 -2  36.91  2.435  21
2 1 0  36.33  2.473  16

Structural model:
```
40
Lattice="8.400 0.000 0.000 -4.145 7.307 0.000 -0.095 -4.836 7.398" Properties=species:S:1:pos:R:3 pbc="T T T"
Li 0.000 0.000 0.000
Li -1.673 3.862 1.416
Li 0.386 -0.296 5.839
Li 1.685 1.925 3.586
Li 4.373 -2.088 5.645
Li 5.662 0.080 3.415
Co -1.114 2.326 4.211
Co 3.028 -0.060 1.428
Co 3.073 4.709 0.413
Ni 7.190 -2.614 5.012
P -2.467 0.397 6.465
P 0.092 -0.474 2.860
P 1.799 -2.802 6.503
P 0.609 4.728 2.706
P 1.227 2.402 6.494
P 4.291 2.591 2.716
O -2.646 3.031 2.969
O -2.298 1.057 5.055
O -0.917 0.722 2.872
O -1.402 -0.690 6.711
O 0.003 -1.246 4.188
O 0.345 -3.250 6.293
O -2.325 6.370 0.096
O 1.529 0.135 2.718
O 2.808 -3.432 5.508
O 0.210 3.263 3.088
O -0.691 5.417 2.245
O 2.248 1.638 0.603
O 0.538 1.654 5.283
O 1.985 -1.264 6.438
O 4.508 -0.122 0.300
O 1.581 4.639 1.510
O 4.152 1.046 2.710
O 5.419 -1.833 3.893
O 2.510 1.611 6.826
O 5.733 -3.456 6.137
O 4.004 3.093 1.235
O 3.262 3.147 3.710
O 4.518 -0.255 6.500
O 4.035 5.964 1.641
```